# 1
This entry pairs a crystal structure of LaHo2ErS6 with its computed XRD peak list. Radiation: a wavelength of 1.5418 Å. Structure: a cell relaxed with GGA-PBE.

Most intense lines, 2θ from 10° to 90°, sorted by position:
hkl 0 1 2, 2θ = 17.51°, rel. 38.6; hkl 1 0 4, 2θ = 24.22°, rel. 98.9; hkl 1 1 0, 2θ = 25.49°, rel. 100.0; hkl 0 2 4, 2θ = 35.45°, rel. 49.2; hkl 2 -1 6, 2θ = 38.95°, rel. 74.9; hkl 3 -1 4, 2θ = 44.17°, rel. 48.3; hkl 3 0 0, 2θ = 44.94°, rel. 47.9; hkl 1 0 10, 2θ = 51.64°, rel. 24.9; hkl 0 2 10, 2θ = 58.48°, rel. 27.5; hkl 2 1 10, 2θ = 64.80°, rel. 19.1

Atomic structure:
```
data_LaHo2ErS6
_chemical_formula_sum 'La3 Ho6 Er3 S18'
_cell_length_a 6.9876
_cell_length_b 6.9876
_cell_length_c 18.5052
_cell_angle_alpha 90.00
_cell_angle_beta 90.00
_cell_angle_gamma 120.00
_symmetry_space_group_name_H-M 'R 3'
_symmetry_Int_Tables_number 146
_symmetry_space_group_name_Hall 'R 3'
loop_
_atom_site_label
_atom_site_type_symbol
_atom_site_fract_x
_atom_site_fract_y
_atom_site_fract_z
_atom_site_occupancy
La1 La 0.0000 0.0000 0.0000 1
Ho1 Ho 0.0000 0.0000 0.2883 1
Ho2 Ho 0.0000 0.0000 0.7935 1
Er1 Er 0.0000 0.0000 0.4905 1
S1 S 0.0022 0.3068 0.8890 1
S2 S 0.0284 0.6371 0.0563 1
```

=====

# 2
This entry pairs a crystal structure of La2HoErSb4 with its computed XRD peak list. Radiation: a wavelength of 1.5418 Å. Structure: a cell relaxed with GGA-PBE.

Most intense lines, 2θ from 10° to 90°, sorted by position:
hkl 1 1 1, 2θ = 28.08°, rel. 100.0; hkl 0 2 0, 2θ = 40.06°, rel. 38.8; hkl 2 0 2, 2θ = 40.19°, rel. 37.3; hkl 0 0 4, 2θ = 49.63°, rel. 20.7; hkl 4 0 0, 2θ = 49.86°, rel. 6.4; hkl 2 2 2, 2θ = 58.04°, rel. 12.6; hkl 1 3 1, 2θ = 65.60°, rel. 17.7; hkl 4 2 0, 2θ = 65.79°, rel. 16.6; hkl 2 0 -6, 2θ = 72.82°, rel. 15.1; hkl 5 1 1, 2θ = 73.13°, rel. 5.8

Atomic structure:
```
data_La2HoErSb4
_chemical_formula_sum 'La2 Ho1 Er1 Sb4'
_cell_length_a 7.7643
_cell_length_b 4.5029
_cell_length_c 7.7954
_cell_angle_alpha 90.00
_cell_angle_beta 109.56
_cell_angle_gamma 90.00
_symmetry_space_group_name_H-M 'P 1 2/m 1'
_symmetry_Int_Tables_number 10
_symmetry_space_group_name_Hall '-P 2y'
loop_
_atom_site_label
_atom_site_type_symbol
_atom_site_fract_x
_atom_site_fract_y
_atom_site_fract_z
_atom_site_occupancy
La1 La 0.0000 0.0000 0.0000 1
La2 La 0.0000 0.5000 0.5000 1
Ho1 Ho 0.5000 0.0000 0.5000 1
Er1 Er 0.5000 0.5000 0.0000 1
Sb1 Sb 0.2653 0.0000 0.7555 1
Sb2 Sb 0.2649 0.5000 0.2545 1
```